Calculated powder XRD pattern of Sr2TiCoO6 for copper Kα, from a structure optimized by DFT (PBE+U).
Intensities are scaled so that the largest is 100.

Top 10 peaks for 2θ from 10° to 90°, by angle:
23.0°, intensity 2, (2 0 0); 32.8°, intensity 100, (2 2 0); 40.4°, intensity 16, (2 2 2); 47.0°, intensity 39, (4 0 0); 53.0°, intensity 1, (4 2 0); 58.5°, intensity 37, (4 2 2); 68.7°, intensity 22, (4 4 0); 78.3°, intensity 16, (6 2 0); 82.9°, intensity 5, (6 2 2); 87.5°, intensity 7, (4 4 4)

Cell and atoms:
```
data_Sr2TiCoO6
_chemical_formula_sum 'Sr8 Ti4 Co4 O24'
_space_group_name_H-M_alt 'F m -3 m'
_space_group_IT_number 225
_space_group_name_Hall '-F 4 2 3'
_cell_length_a 7.727
_cell_length_b 7.727
_cell_length_c 7.727
_cell_angle_alpha 90.00
_cell_angle_beta 90.00
_cell_angle_gamma 90.00
loop_
_atom_site_label
_atom_site_fract_x
_atom_site_fract_y
_atom_site_fract_z
Sr1 0.250 0.250 0.250
Ti1 0.000 0.000 0.000
Co1 0.000 0.000 0.500
O1 0.000 0.000 0.254
```